No. 1
Calculated PXRD pattern
Compound: Nd2Dy2Sc7
Radiation: Cu Ka
Structure: a structure optimized by DFT (PBE)
No peak broadening, texture or thermal motion is included.

Peak list (12 most intense, 15° ≤ 2θ ≤ 90°, by angle)
18.9°, 4.686 Å, I 25
26.0°, 3.423 Å, I 52
29.4°, 3.042 Å, I 39
30.9°, 2.893 Å, I 29
33.6°, 2.669 Å, I 28
34.1°, 2.632 Å, I 100
34.2°, 2.622 Å, I 30
34.6°, 2.589 Å, I 24
35.5°, 2.528 Å, I 30
55.4°, 1.657 Å, I 17
60.9°, 1.520 Å, I 14
65.7°, 1.422 Å, I 15

Structure:
Cell: 6.4716 10.3566 9.1220 Å, 90.00 90.54 90.00°
Space group C2/m (No. 12)
Unique sites:
Nd 0.1668 0.0000 0.2464 [4 per cell]
Dy 0.0000 0.2100 0.5000 [4 per cell]
Sc 0.0000 0.5000 0.0000 [2 per cell]
Sc 0.1501 0.5000 0.3605 [4 per cell]
Sc 0.1603 0.2112 0.8539 [8 per cell]

---

No. 2
Calculated PXRD pattern
Compound: Nd3Dy5Sc
Radiation: Cu Ka
Structure: a structure optimized by DFT (PBE)
No peak broadening, texture or thermal motion is included.

Peak list (12 most intense, 15° ≤ 2θ ≤ 90°, by angle)
15.9°, 5.581 Å, I 42
18.2°, 4.880 Å, I 43
27.6°, 3.228 Å, I 60
28.3°, 3.150 Å, I 87
29.2°, 3.060 Å, I 37
29.9°, 2.987 Å, I 47
30.9°, 2.897 Å, I 34
31.1°, 2.873 Å, I 32
32.1°, 2.790 Å, I 100
32.8°, 2.731 Å, I 63
34.3°, 2.614 Å, I 71
34.9°, 2.569 Å, I 51

Structure:
Cell: 12.2467 11.1613 11.5819 Å, 90.00 119.75 90.00°
Space group C2/m (No. 12)
Unique sites:
Nd 0.0000 0.0000 0.0000 [2 per cell]
Nd 0.0000 0.0000 0.5000 [2 per cell]
Nd 0.1800 0.5000 0.2428 [4 per cell]
Nd 0.2190 0.0000 0.3444 [4 per cell]
Dy 0.0000 0.2838 0.0000 [4 per cell]
Dy 0.0063 0.5000 0.3706 [4 per cell]
Dy 0.1747 0.2544 0.8098 [8 per cell]
Dy 0.1800 0.5000 0.9589 [4 per cell]
Sc 0.0634 0.0000 0.7868 [4 per cell]

---

No. 3
Calculated PXRD pattern
Compound: Nd3Dy2ScSe6
Radiation: Cu Ka
Structure: a structure optimized by DFT (PBE)
No peak broadening, texture or thermal motion is included.

Peak list (12 most intense, 15° ≤ 2θ ≤ 90°, by angle)
26.7°, 3.344 Å, I 9
30.7°, 2.915 Å, I 100
43.4°, 2.086 Å, I 12
43.5°, 2.080 Å, I 25
44.4°, 2.041 Å, I 36
53.3°, 1.717 Å, I 6
54.8°, 1.674 Å, I 6
55.0°, 1.670 Å, I 13
63.8°, 1.458 Å, I 8
73.2°, 1.293 Å, I 11
81.2°, 1.185 Å, I 8
81.7°, 1.178 Å, I 6

Structure:
Cell: 18.0689 4.0796 8.3465 Å, 90.00 104.88 90.00°
Space group C2/m (No. 12)
Unique sites:
Nd 0.0000 0.0000 0.0000 [2 per cell]
Nd 0.1692 0.5000 0.3359 [4 per cell]
Dy 0.1658 0.5000 0.8323 [4 per cell]
Sc 0.0000 0.0000 0.5000 [2 per cell]
Se 0.0015 0.5000 0.7312 [4 per cell]
Se 0.1584 0.0000 0.5890 [4 per cell]
Se 0.1699 0.0000 0.0755 [4 per cell]

---

No. 4
Calculated PXRD pattern
Compound: NdSmDy2Sc2
Radiation: Cu Ka
Structure: a structure optimized by DFT (PBE)
No peak broadening, texture or thermal motion is included.

Peak list (12 most intense, 15° ≤ 2θ ≤ 90°, by angle)
20.2°, 4.389 Å, I 22
24.7°, 3.603 Å, I 29
30.1°, 2.967 Å, I 100
30.6°, 2.924 Å, I 58
30.7°, 2.909 Å, I 32
31.9°, 2.806 Å, I 27
33.8°, 2.655 Å, I 19
35.0°, 2.562 Å, I 18
36.6°, 2.455 Å, I 30
42.3°, 2.139 Å, I 21
43.5°, 2.081 Å, I 18
52.4°, 1.746 Å, I 18

Structure:
Cell: 6.3101 17.5572 3.3530 Å, 90.00 90.00 90.00°
Space group Pnnm (No. 58)
Unique sites:
Nd 0.0000 0.0000 0.0000 [2 per cell]
Sm 0.0000 0.5000 0.0000 [2 per cell]
Dy 0.2183 0.1927 0.0000 [4 per cell]
Sc 0.2165 0.3535 0.5000 [4 per cell]

---

No. 5
Calculated PXRD pattern
Compound: TbNdDy2Sc
Radiation: Cu Ka
Structure: a structure optimized by DFT (PBE)
No peak broadening, texture or thermal motion is included.

Peak list (12 most intense, 15° ≤ 2θ ≤ 90°, by angle)
26.8°, 3.322 Å, I 100
29.7°, 3.004 Å, I 99
31.7°, 2.823 Å, I 53
33.4°, 2.685 Å, I 81
33.7°, 2.661 Å, I 17
36.5°, 2.463 Å, I 21
40.7°, 2.214 Å, I 22
46.7°, 1.945 Å, I 58
55.3°, 1.662 Å, I 23
59.1°, 1.564 Å, I 36
61.8°, 1.502 Å, I 16
89.6°, 1.095 Å, I 17

Structure:
Cell: 8.2155 11.2929 7.0942 Å, 90.00 90.00 90.00°
Space group Cmcm (No. 63)
Unique sites:
Tb 0.0000 0.2349 0.2500 [4 per cell]
Nd 0.0000 0.2302 0.7500 [4 per cell]
Dy 0.1972 0.0000 0.0000 [8 per cell]
Sc 0.0000 0.4949 0.7500 [4 per cell]

---

No. 6
Calculated PXRD pattern
Compound: Tb2Nd5DySc
Radiation: Cu Ka
Structure: a structure optimized by DFT (PBE)
No peak broadening, texture or thermal motion is included.

Peak list (12 most intense, 15° ≤ 2θ ≤ 90°, by angle)
26.9°, 3.311 Å, I 35
31.3°, 2.860 Å, I 9
31.6°, 2.835 Å, I 100
32.6°, 2.744 Å, I 14
33.2°, 2.695 Å, I 32
33.4°, 2.684 Å, I 9
35.0°, 2.561 Å, I 16
47.3°, 1.923 Å, I 10
48.6°, 1.872 Å, I 9
49.1°, 1.856 Å, I 13
58.4°, 1.581 Å, I 17
60.2°, 1.537 Å, I 21

Structure:
Cell: 5.3892 21.9517 10.2454 Å, 90.00 90.00 90.00°
Space group Cmc2_1 (No. 36)
Unique sites:
Tb 0.0000 0.1159 0.0000 [4 per cell]
Tb 0.0000 0.1155 0.4974 [4 per cell]
Nd 0.0000 0.0006 0.7487 [4 per cell]
Nd 0.0000 0.2783 0.5615 [4 per cell]
Nd 0.0000 0.2787 0.9372 [4 per cell]
Nd 0.0000 0.3729 0.2488 [4 per cell]
Nd 0.0000 0.4999 0.4986 [4 per cell]
Dy 0.0000 0.3983 0.7488 [4 per cell]
Sc 0.0000 0.2128 0.2493 [4 per cell]

---

No. 7
Calculated PXRD pattern
Compound: Nd2DyThSc4
Radiation: Cu Ka
Structure: a structure optimized by DFT (PBE)
No peak broadening, texture or thermal motion is included.

Peak list (12 most intense, 15° ≤ 2θ ≤ 90°, by angle)
19.6°, 4.526 Å, I 27
25.0°, 3.561 Å, I 30
32.0°, 2.798 Å, I 100
35.7°, 2.518 Å, I 37
39.8°, 2.263 Å, I 14
41.0°, 2.200 Å, I 17
47.6°, 1.910 Å, I 12
51.3°, 1.780 Å, I 13
54.5°, 1.683 Å, I 22
61.8°, 1.502 Å, I 30
66.9°, 1.399 Å, I 12
67.4°, 1.389 Å, I 11

Structure:
Cell: 5.0303 5.0405 9.0520 Å, 90.00 90.00 90.00°
Space group Pmmm (No. 47)
Unique sites:
Nd 0.0000 0.0000 0.0000 [1 per cell]
Nd 0.5000 0.5000 0.5000 [1 per cell]
Dy 0.0000 0.0000 0.5000 [1 per cell]
Th 0.5000 0.5000 0.0000 [1 per cell]
Sc 0.0000 0.5000 0.2473 [2 per cell]
Sc 0.5000 0.0000 0.2473 [2 per cell]

---

No. 8
Calculated PXRD pattern
Compound: NdDy2Tm2Sc2
Radiation: Cu Ka
Structure: a structure optimized by DFT (PBE)
No peak broadening, texture or thermal motion is included.

Peak list (12 most intense, 15° ≤ 2θ ≤ 90°, by angle)
16.9°, 5.254 Å, I 16
20.3°, 4.380 Å, I 20
32.0°, 2.795 Å, I 100
32.5°, 2.757 Å, I 87
33.0°, 2.717 Å, I 52
33.2°, 2.702 Å, I 42
45.0°, 2.013 Å, I 16
47.5°, 1.916 Å, I 38
57.0°, 1.614 Å, I 16
58.5°, 1.577 Å, I 18
58.8°, 1.570 Å, I 37
64.2°, 1.451 Å, I 24

Structure:
Cell: 3.4142 5.4041 22.4368 Å, 90.00 90.00 90.00°
Space group Immm (No. 71)
Unique sites:
Nd 0.0000 0.0000 0.0000 [2 per cell]
Dy 0.0000 0.0000 0.4268 [4 per cell]
Tm 0.0000 0.5000 0.2082 [4 per cell]
Sc 0.0000 0.5000 0.3539 [4 per cell]

---

No. 9
Calculated PXRD pattern
Compound: Nd4Dy2YSc
Radiation: Cu Ka
Structure: a structure optimized by DFT (PBE)
No peak broadening, texture or thermal motion is included.

Peak list (12 most intense, 15° ≤ 2θ ≤ 90°, by angle)
19.5°, 4.543 Å, I 9
30.6°, 2.921 Å, I 100
35.1°, 2.555 Å, I 35
36.2°, 2.481 Å, I 16
50.5°, 1.807 Å, I 12
51.3°, 1.780 Å, I 23
60.2°, 1.538 Å, I 14
60.3°, 1.535 Å, I 14
61.7°, 1.504 Å, I 13
63.7°, 1.461 Å, I 12
82.4°, 1.171 Å, I 6
83.6°, 1.157 Å, I 6

Structure:
Cell: 5.1037 5.1172 9.9235 Å, 90.00 90.00 90.00°
Space group Pmmm (No. 47)
Unique sites:
Nd 0.0000 0.0000 0.2441 [2 per cell]
Nd 0.5000 0.5000 0.2444 [2 per cell]
Dy 0.0000 0.5000 0.0000 [1 per cell]
Dy 0.5000 0.0000 0.5000 [1 per cell]
Y 0.0000 0.5000 0.5000 [1 per cell]
Sc 0.5000 0.0000 0.0000 [1 per cell]

---

No. 10
Calculated PXRD pattern
Compound: NdDyY2Sc
Radiation: Cu Ka
Structure: a structure optimized by DFT (PBE)
No peak broadening, texture or thermal motion is included.

Peak list (12 most intense, 15° ≤ 2θ ≤ 90°, by angle)
21.6°, 4.116 Å, I 23
26.8°, 3.324 Å, I 100
29.6°, 3.015 Å, I 93
31.8°, 2.818 Å, I 52
33.2°, 2.697 Å, I 89
36.4°, 2.469 Å, I 22
46.6°, 1.948 Å, I 61
51.2°, 1.784 Å, I 25
55.3°, 1.662 Å, I 24
58.7°, 1.572 Å, I 22
61.5°, 1.507 Å, I 25
67.4°, 1.389 Å, I 24

Structure:
Cell: 8.2327 11.2725 7.1381 Å, 90.00 90.00 90.00°
Space group Cmcm (No. 63)
Unique sites:
Nd 0.0000 0.2320 0.2500 [4 per cell]
Dy 0.0000 0.2346 0.7500 [4 per cell]
Y 0.1978 0.0000 0.0000 [8 per cell]
Sc 0.0000 0.4952 0.2500 [4 per cell]

---

No. 11
Calculated PXRD pattern
Compound: NdDy2Y4Sc
Radiation: Cu Ka
Structure: a structure optimized by DFT (PBE)
No peak broadening, texture or thermal motion is included.

Peak list (12 most intense, 15° ≤ 2θ ≤ 90°, by angle)
30.9°, 2.891 Å, I 100
35.8°, 2.507 Å, I 34
36.0°, 2.498 Å, I 17
51.4°, 1.776 Å, I 6
51.7°, 1.769 Å, I 29
61.3°, 1.513 Å, I 14
61.4°, 1.509 Å, I 20
61.6°, 1.507 Å, I 7
64.4°, 1.447 Å, I 6
84.3°, 1.149 Å, I 7
84.4°, 1.148 Å, I 7
87.0°, 1.120 Å, I 8

Structure:
Cell: 6.1206 3.5524 11.7337 Å, 90.00 100.11 90.00°
Space group P2/m (No. 10)
Unique sites:
Nd 0.0000 0.0000 0.0000 [1 per cell]
Dy 0.5000 0.0000 0.5000 [1 per cell]
Dy 0.5000 0.5000 0.0000 [1 per cell]
Y 0.2459 0.0000 0.7430 [2 per cell]
Y 0.2508 0.5000 0.2545 [2 per cell]
Sc 0.0000 0.5000 0.5000 [1 per cell]

---

No. 12
Calculated PXRD pattern
Compound: Nd2DySe4
Radiation: Cu Ka
Structure: a structure optimized by DFT (PBE)
No peak broadening, texture or thermal motion is included.

Peak list (12 most intense, 15° ≤ 2θ ≤ 90°, by angle)
30.2°, 2.955 Å, I 100
30.8°, 2.903 Å, I 47
43.1°, 2.100 Å, I 19
43.5°, 2.079 Å, I 18
43.7°, 2.071 Å, I 72
53.9°, 1.702 Å, I 19
54.3°, 1.690 Å, I 19
62.9°, 1.478 Å, I 12
71.7°, 1.317 Å, I 25
72.6°, 1.303 Å, I 15
79.4°, 1.207 Å, I 12
80.0°, 1.199 Å, I 12

Structure:
Cell: 8.3170 8.4013 11.6111 Å, 90.00 90.00 90.00°
Space group Imma (No. 74)
Unique sites:
Nd 0.0000 0.0000 0.0000 [4 per cell]
Nd 0.2500 0.2500 0.2500 [4 per cell]
Dy 0.2500 0.2500 0.7500 [4 per cell]
Se 0.0000 0.0079 0.7426 [8 per cell]
Se 0.2494 0.2500 0.5041 [8 per cell]

---

Which formula does entry 2 have? Nd3Dy5Sc